Np2Al2FeSi4: simulated XRD peak list (Cu Kα (weighted mean of Kα1 and Kα2)), based on a cell relaxed with PBE.
Peak positions follow from Bragg's law for the DFT cell and can differ from measured ones.

Structural model:
Unit cell a=5.9042 b=5.9042 c=5.9042 alpha=119.69 beta=119.69 gamma=90.53
Element x y z (fractional)
Np 0.2500 0.7500 0.5000
Np 0.7500 0.2500 0.5000
Al 0.2180 0.2180 0.0000
Al 0.7820 0.7820 0.0000
Fe 0.5000 0.5000 0.0000
Si 0.2263 0.2263 0.4525
Si 0.2263 0.7737 0.0000
Si 0.7737 0.2263 0.0000
Si 0.7737 0.7737 0.5475

Most intense lines, 2θ = 10–80°, sorted by position:
two_theta  I/Imax
21.18  61.3
21.38  28.1
30.13  48.7
30.28  100.0
37.25  81.7
43.14  39.6
43.56  18.9
48.58  31.6
53.61  40.1
62.97  24.7
71.11  19.2
75.20  20.8

=====

PmP3Rh3: simulated XRD peak list (Cu Kα (weighted mean of Kα1 and Kα2)), based on a cell relaxed with PBE.
Peak positions follow from Bragg's law for the DFT cell and can differ from measured ones.

Structural model:
Unit cell a=7.6968 b=7.6968 c=7.6968 alpha=51.91 beta=51.91 gamma=51.91
Element x y z (fractional)
Pm 0.1665 0.1665 0.1665
Pm 0.8335 0.8335 0.8335
P 0.0908 0.4052 0.7278
P 0.2722 0.9092 0.5948
P 0.4052 0.7278 0.0908
P 0.5948 0.2722 0.9092
P 0.7278 0.0908 0.4052
P 0.9092 0.5948 0.2722
Rh 0.0360 0.7171 0.3821
Rh 0.2829 0.6179 0.9640
Rh 0.3821 0.0360 0.7171
Rh 0.6179 0.9640 0.2829
Rh 0.7171 0.3821 0.0360
Rh 0.9640 0.2829 0.6179

Most intense lines, 2θ = 10–80°, sorted by position:
two_theta  I/Imax
15.83  14.4
17.62  11.8
29.74  100.0
38.05  64.6
40.76  17.3
46.70  51.4
49.25  14.1
56.35  16.3
61.76  15.2
62.35  10.2
63.69  26.8
76.12  13.2

=====

K3InCl8: simulated XRD peak list (Cu Kα (weighted mean of Kα1 and Kα2)), based on a cell relaxed with PBE.
Peak positions follow from Bragg's law for the DFT cell and can differ from measured ones.

Structural model:
Unit cell a=8.8865 b=8.8865 c=8.8865 alpha=132.82 beta=132.82 gamma=68.94
Element x y z (fractional)
K 0.0000 0.0000 0.0000
K 0.2500 0.7500 0.5000
K 0.7500 0.2500 0.5000
In 0.5000 0.5000 0.0000
Cl 0.1685 0.1685 0.5581
Cl 0.1685 0.6103 0.0000
Cl 0.3897 0.3897 0.5581
Cl 0.3897 0.8315 0.0000
Cl 0.6103 0.1685 0.0000
Cl 0.6103 0.6103 0.4419
Cl 0.8315 0.3897 0.0000
Cl 0.8315 0.8315 0.4419

Most intense lines, 2θ = 10–80°, sorted by position:
two_theta  I/Imax
12.08  23.4
13.84  56.5
21.43  90.9
35.17  100.0
35.70  47.7
41.09  14.5
42.02  27.1
46.45  12.1
51.39  12.8
55.55  13.0
62.76  11.8
63.80  22.4

=====

Mg5Np2O12: simulated XRD peak list (Cu Kα (weighted mean of Kα1 and Kα2)), based on a cell relaxed with PBE.
Peak positions follow from Bragg's law for the DFT cell and can differ from measured ones.

Structural model:
Unit cell a=5.9688 b=5.9688 c=8.8162 alpha=110.58 beta=110.58 gamma=61.44
Element x y z (fractional)
Mg 0.0000 0.0000 0.0000
Mg 0.3055 0.3055 0.0923
Mg 0.3406 0.3406 0.7898
Mg 0.6594 0.6594 0.2102
Mg 0.6945 0.6945 0.9077
Np 0.2640 0.7360 0.5000
Np 0.7360 0.2640 0.5000
O 0.0173 0.0173 0.3620
O 0.0497 0.5588 0.3750
O 0.1097 0.6045 0.9596
O 0.3955 0.8903 0.0404
O 0.4412 0.9503 0.6250
O 0.4941 0.4941 0.6979
O 0.5059 0.5059 0.3021
O 0.5588 0.0497 0.3750
O 0.6045 0.1097 0.9596
O 0.8903 0.3955 0.0404
O 0.9503 0.4412 0.6250
O 0.9827 0.9827 0.6380

Most intense lines, 2θ = 10–80°, sorted by position:
two_theta  I/Imax
11.00  100.0
17.59  51.3
18.95  36.1
22.10  34.2
22.49  34.7
25.63  25.5
31.38  28.2
34.37  17.9
37.00  22.8
37.24  21.6
43.11  13.8
49.85  13.6

=====

Pr15Dy4Al: simulated XRD peak list (Cu Kα (weighted mean of Kα1 and Kα2)), based on a cell relaxed with PBE.
Peak positions follow from Bragg's law for the DFT cell and can differ from measured ones.

Structural model:
Unit cell a=5.1295 b=5.1295 c=25.8602 alpha=90.00 beta=90.00 gamma=90.00
Element x y z (fractional)
Pr 0.0000 0.0000 0.0000
Pr 0.0000 0.0000 0.1956
Pr 0.0000 0.0000 0.3984
Pr 0.0000 0.0000 0.6016
Pr 0.0000 0.0000 0.8044
Pr 0.0000 0.5000 0.0936
Pr 0.0000 0.5000 0.2972
Pr 0.0000 0.5000 0.5000
Pr 0.0000 0.5000 0.7028
Pr 0.0000 0.5000 0.9064
Pr 0.5000 0.0000 0.0936
Pr 0.5000 0.0000 0.2972
Pr 0.5000 0.0000 0.5000
Pr 0.5000 0.0000 0.7028
Pr 0.5000 0.0000 0.9064
Dy 0.5000 0.5000 0.1962
Dy 0.5000 0.5000 0.3990
Dy 0.5000 0.5000 0.6010
Dy 0.5000 0.5000 0.8038
Al 0.5000 0.5000 0.0000

Most intense lines, 2θ = 10–80°, sorted by position:
two_theta  I/Imax
28.21  1.4
30.09  100.0
34.69  16.5
34.99  34.0
50.09  23.3
50.31  12.1
55.86  1.3
59.35  13.0
59.75  28.5
62.56  11.9
73.20  1.6
73.91  3.8

=====

Hf8NbIn6: simulated XRD peak list (Cu Kα (weighted mean of Kα1 and Kα2)), based on a cell relaxed with PBE.
Peak positions follow from Bragg's law for the DFT cell and can differ from measured ones.

Structural model:
Unit cell a=7.6643 b=7.6643 c=7.6643 alpha=65.83 beta=65.83 gamma=65.83
Element x y z (fractional)
Hf 0.0647 0.3867 0.7136
Hf 0.1662 0.1662 0.1662
Hf 0.2864 0.9353 0.6133
Hf 0.3867 0.7136 0.0647
Hf 0.6133 0.2864 0.9353
Hf 0.7136 0.0647 0.3867
Hf 0.8338 0.8338 0.8338
Hf 0.9353 0.6133 0.2864
Nb 0.5000 0.5000 0.5000
In 0.1024 0.7748 0.4404
In 0.2252 0.5596 0.8976
In 0.4404 0.1024 0.7748
In 0.5596 0.8976 0.2252
In 0.7748 0.4404 0.1024
In 0.8976 0.2252 0.5596

Most intense lines, 2θ = 10–80°, sorted by position:
two_theta  I/Imax
21.34  15.4
26.09  38.4
37.06  100.0
37.40  96.0
46.17  8.3
53.67  33.9
60.86  7.4
66.58  18.1
67.25  33.9
67.47  16.8
78.94  11.2
79.77  10.4